Structure and simulated X-ray powder pattern of Rb3AgS2O8 (a crystal structure in Alexandria, relaxed with PBE; Cu Kα).

The 8 most intense peaks (2θ = 10–80°), low angle first:
index, Position (°2θ), I_rel
0 0 1, 11.32, 12
0 1 2, 28.64, 100
1 1 0, 29.93, 100
2 0 2, 41.90, 49
1 2 2, 52.35, 30
3 0 0, 53.14, 17
2 2 0, 62.19, 15
3 1 2, 69.87, 16

```
data_Rb3AgS2O8
_cell_length_a 5.9704
_cell_length_b 5.9704
_cell_length_c 7.8134
_cell_angle_alpha 90.00
_cell_angle_beta 90.00
_cell_angle_gamma 120.00
_space_group_name_H-M_alt 'P -3 m 1'
_space_group_IT_number 164
_space_group_name_Hall '-P 3 2"'
loop_
_atom_site_label
_atom_site_fract_x
_atom_site_fract_y
_atom_site_fract_z
Rb1 0.0000 0.0000 0.0000
Rb2 0.3333 0.6667 0.6846
Ag1 0.0000 0.0000 0.5000
S1 0.3333 0.6667 0.2363
O1 0.1965 0.3930 0.3023
O2 0.3333 0.6667 0.0475
```



Structure and simulated X-ray powder pattern of RbTcAg2O4 (a crystal structure in Alexandria, relaxed with PBE; Cu Kα).

The 8 most intense peaks (2θ = 10–80°), low angle first:
index, Position (°2θ), I_rel
2 0 0, 29.48, 47
1 1 2, 31.19, 100
2 2 0, 42.18, 24
3 1 2, 53.38, 43
2 0 4, 56.53, 20
2 2 4, 65.04, 10
4 2 0, 69.36, 10
3 3 2, 70.28, 8

```
data_RbTcAg2O4
_cell_length_a 6.0591
_cell_length_b 6.0591
_cell_length_c 7.7212
_cell_angle_alpha 90.00
_cell_angle_beta 90.00
_cell_angle_gamma 90.00
_space_group_name_H-M_alt 'I -4 2 m'
_space_group_IT_number 121
_space_group_name_Hall 'I -4 2'
loop_
_atom_site_label
_atom_site_fract_x
_atom_site_fract_y
_atom_site_fract_z
Rb1 0.0000 0.0000 0.0000
Tc1 0.0000 0.0000 0.5000
Ag1 0.0000 0.5000 0.2500
O1 0.1746 0.1746 0.3593
```



Structure and simulated X-ray powder pattern of Rb2Ti3AgO8 (a crystal structure in Alexandria, relaxed with PBE; Cu Kα).

The 8 most intense peaks (2θ = 10–80°), low angle first:
index, Position (°2θ), I_rel
0 0 3, 12.98, 32
1 0 4, 24.13, 46
0 1 5, 27.49, 100
1 1 0, 29.06, 65
1 1 3, 31.94, 66
1 1 9, 49.90, 34
1 2 5, 50.55, 40
2 2 0, 60.23, 34

```
data_Rb2Ti3AgO8
_cell_length_a 6.1463
_cell_length_b 6.1463
_cell_length_c 20.4607
_cell_angle_alpha 90.00
_cell_angle_beta 90.00
_cell_angle_gamma 120.00
_space_group_name_H-M_alt 'R 3 m'
_space_group_IT_number 160
_space_group_name_Hall 'R 3 -2"'
loop_
_atom_site_label
_atom_site_fract_x
_atom_site_fract_y
_atom_site_fract_z
Rb1 0.0000 0.0000 0.0000
Rb2 0.0000 0.0000 0.3583
Ti1 0.0057 0.5029 0.8622
Ag1 0.0000 0.0000 0.7870
O1 0.0000 0.0000 0.1410
O2 0.0000 0.0000 0.5775
O3 0.0511 0.5256 0.1387
O4 0.1824 0.3649 0.9072
```